Record 1
For CsNd2Cu3Se5, a GGA-PBE-relaxed structure gives the calculated powder XRD pattern in this record (λ = 1.5418 Å (Cu Kα)).
Lines closer than 0.1° are merged.

Principal peaks in the range 5 to 70 degrees two-theta, most intense first:
Position (°2θ)	I/Imax	hkl
28.35	100	1 3 1
29.91	87	0 0 6
29.66	75	1 3 2
42.97	70	2 0 0
45.37	69	1 3 7
34.45	66	1 3 4
37.19	65	1 5 0
27.89	61	1 3 0
49.41	36	0 8 0
38.59	34	1 5 2
53.23	34	2 0 6
39.63	32	0 6 3

Atomic structure:
Cell lengths 4.210, 14.755, 17.926 Å; angles 90.00, 90.00, 90.00 degrees
Space group Cmcm (No. 63)
Asymmetric unit:
Cs1 0.000 0.060 0.250 (multiplicity 4)
Nd1 0.000 0.192 0.591 (multiplicity 8)
Cu1 0.000 0.337 0.250 (multiplicity 4)
Cu2 0.000 0.415 0.528 (multiplicity 8)
Se1 0.000 0.163 0.070 (multiplicity 8)
Se2 0.000 0.236 0.750 (multiplicity 4)
Se3 0.000 0.444 0.111 (multiplicity 8)

---

Record 2
For CsNdCu3Se4, a GGA-PBE-relaxed structure gives the calculated powder XRD pattern in this record (λ = 1.5418 Å (Cu Kα)).
Lines closer than 0.1° are merged.

Principal peaks in the range 5 to 70 degrees two-theta, most intense first:
Position (°2θ)	I/Imax	hkl
38.09	100	2 2 0
23.05	55	1 1 1
18.78	44	1 1 0
68.83	30	4 2 2
45.00	25	3 1 1
32.83	23	2 1 1
13.25	17	1 0 0
54.97	16	4 0 0
51.15	15	3 2 1
58.61	9	4 1 1
60.38	9	3 3 1
42.80	9	3 1 0

Atomic structure:
Cell lengths 6.682, 6.682, 6.682 Å; angles 90.00, 90.00, 90.00 degrees
Space group P-43m (No. 215)
Asymmetric unit:
Cs1 0.000 0.000 0.000 (multiplicity 1)
Nd1 0.500 0.500 0.500 (multiplicity 1)
Cu1 0.000 0.500 0.500 (multiplicity 3)
Se1 0.270 0.270 0.270 (multiplicity 4)

---

Record 3
For Cs2Nd4Cu4Te9, a GGA-PBE-relaxed structure gives the calculated powder XRD pattern in this record (λ = 1.5418 Å (Cu Kα)).
Lines closer than 0.1° are merged.

Principal peaks in the range 5 to 70 degrees two-theta, most intense first:
Position (°2θ)	I/Imax	hkl
26.58	100	3 1 -2
40.28	88	0 2 0
28.31	64	3 1 1
26.15	60	3 1 -1
26.74	60	3 1 0
34.81	48	1 1 5
25.85	44	0 0 5
27.99	44	3 1 -3
24.81	39	2 0 -5
38.00	37	6 0 1
40.74	35	3 1 -7
31.13	33	0 0 6

Atomic structure:
Cell lengths 15.775, 4.477, 18.155 Å; angles 90.00, 108.26, 90.00 degrees
Space group C2/m (No. 12)
Asymmetric unit:
Cs1 0.030 0.000 0.271 (multiplicity 4)
Nd1 0.154 0.500 0.555 (multiplicity 4)
Nd2 0.229 0.000 0.099 (multiplicity 4)
Cu1 0.076 0.500 0.974 (multiplicity 4)
Cu2 0.246 0.000 0.732 (multiplicity 4)
Te1 0.000 0.000 0.500 (multiplicity 2)
Te2 0.101 0.500 0.125 (multiplicity 4)
Te3 0.132 0.000 0.922 (multiplicity 4)
Te4 0.157 0.500 0.727 (multiplicity 4)
Te5 0.200 0.500 0.396 (multiplicity 4)

---

Record 4
For CsNd2Cu3Te5, a GGA-PBE-relaxed structure gives the calculated powder XRD pattern in this record (λ = 1.5418 Å (Cu Kα)).
Lines closer than 0.1° are merged.

Principal peaks in the range 5 to 70 degrees two-theta, most intense first:
Position (°2θ)	I/Imax	hkl
26.77	100	1 3 1
28.36	65	0 0 6
26.33	58	1 3 0
28.00	56	1 3 2
40.57	54	2 0 0
32.55	53	1 3 4
42.87	52	1 3 7
37.30	29	0 6 3
39.08	27	1 3 6
50.24	26	2 0 6
35.05	25	1 5 0
46.43	22	0 8 0

Atomic structure:
Cell lengths 4.447, 15.658, 18.883 Å; angles 90.00, 90.00, 90.00 degrees
Space group Cmcm (No. 63)
Asymmetric unit:
Cs1 0.000 0.057 0.250 (multiplicity 4)
Nd1 0.000 0.193 0.589 (multiplicity 8)
Cu1 0.000 0.340 0.250 (multiplicity 4)
Cu2 0.000 0.415 0.524 (multiplicity 8)
Te1 0.000 0.159 0.073 (multiplicity 8)
Te2 0.000 0.241 0.750 (multiplicity 4)
Te3 0.000 0.446 0.114 (multiplicity 8)

---

Record 5
For CsCuNiSeS2, a GGA-PBE-relaxed structure gives the calculated powder XRD pattern in this record (λ = 1.5418 Å (Cu Kα)).
Lines closer than 0.1° are merged.

Principal peaks in the range 5 to 70 degrees two-theta, most intense first:
Position (°2θ)	I/Imax	hkl
31.56	100	1 3 1
55.71	48	1 3 5
36.11	36	0 0 4
17.83	32	0 0 2
40.89	30	1 3 3
11.28	30	0 2 0
22.67	29	0 4 0
48.79	21	1 7 1
21.15	20	0 2 2
28.99	19	0 4 2
50.94	15	2 0 0
38.91	14	0 6 2

Atomic structure:
Cell lengths 3.585, 15.687, 9.951 Å; angles 90.00, 90.00, 90.00 degrees
Space group Cmcm (No. 63)
Asymmetric unit:
Cs1 0.000 0.246 0.250 (multiplicity 4)
Cu1 0.000 0.454 0.750 (multiplicity 4)
Ni1 0.000 0.000 0.000 (multiplicity 4)
Se1 0.000 0.056 0.750 (multiplicity 4)
S1 0.000 0.408 0.537 (multiplicity 8)

---

Record 6
For CsRb2Cu3P2, a GGA-PBE-relaxed structure gives the calculated powder XRD pattern in this record (λ = 1.5418 Å (Cu Kα)).
Lines closer than 0.1° are merged.

Principal peaks in the range 5 to 70 degrees two-theta, most intense first:
Position (°2θ)	I/Imax	hkl
27.93	100	0 1 5
35.55	68	2 0 2
29.68	49	1 1 0
32.58	39	1 1 3
51.60	35	1 2 5
61.62	21	2 2 0
38.87	21	0 2 4
34.69	18	0 2 1
54.50	17	0 0 12
50.29	17	2 0 8
57.71	16	0 2 10
68.97	14	3 1 5

Atomic structure:
Cell lengths 6.0207, 6.0207, 20.2113 Å; angles 90.00, 90.00, 120.00 degrees
Space group R-3m (No. 166, hexagonal axes)
Asymmetric unit:
Cs1 0.0000 0.0000 0.0000 (multiplicity 3)
Rb1 0.0000 0.0000 0.4086 (multiplicity 6)
Cu1 0.0000 0.5000 0.5000 (multiplicity 9)
P1 0.0000 0.0000 0.2376 (multiplicity 6)

---

Record 7
For CsRb3Cu2P2, a GGA-PBE-relaxed structure gives the calculated powder XRD pattern in this record (λ = 1.5418 Å (Cu Kα)).
Lines closer than 0.1° are merged.

Principal peaks in the range 5 to 70 degrees two-theta, most intense first:
Position (°2θ)	I/Imax	hkl
27.79	100	1 1 1
31.75	61	1 1 -2
31.86	58	2 1 -1
33.00	48	1 2 0
28.14	48	2 0 -1
28.02	45	1 0 -2
34.19	30	1 2 -1
29.51	26	0 2 0
54.18	26	3 2 0
53.98	26	0 2 3
51.28	25	1 3 1
36.61	24	1 0 2

Atomic structure:
Cell lengths 6.458, 6.053, 6.490 Å; angles 90.00, 108.42, 90.00 degrees
Space group Pm (No. 6)
Asymmetric unit:
Cs1 0.000 0.000 0.000 (multiplicity 1)
Rb1 0.289 0.500 0.292 (multiplicity 1)
Rb2 0.658 0.000 0.338 (multiplicity 1)
Rb3 0.950 0.500 0.627 (multiplicity 1)
Cu1 0.471 0.250 0.813 (multiplicity 2)
P1 0.258 0.000 0.587 (multiplicity 1)
P2 0.690 0.500 0.035 (multiplicity 1)

---

Record 8
For CsCuPS4, a GGA-PBE-relaxed structure gives the calculated powder XRD pattern in this record (λ = 1.5418 Å (Cu Kα)).
Lines closer than 0.1° are merged.

Principal peaks in the range 5 to 70 degrees two-theta, most intense first:
Position (°2θ)	I/Imax	hkl
20.82	100	2 0 0
36.46	60	2 0 4
29.65	23	2 2 0
14.65	22	0 0 2
52.53	20	4 0 4
42.34	18	2 2 4
47.72	18	4 2 0
57.10	17	4 2 4
24.49	12	2 1 1
25.57	10	2 0 2
32.31	10	2 1 3
33.17	10	2 2 2

Atomic structure:
Cell lengths 8.522, 8.522, 12.103 Å; angles 90.00, 90.00, 90.00 degrees
Space group I4/mcm (No. 140)
Asymmetric unit:
Cs1 0.000 0.000 0.250 (multiplicity 4)
Cu1 0.000 0.500 0.000 (multiplicity 4)
P1 0.000 0.500 0.250 (multiplicity 4)
S1 0.131 0.369 0.141 (multiplicity 16)

---

- Which formula does entry 3 have?
  Cs2Nd4Cu4Te9